# Cs6Bi4O9
Theoretical X-ray powder pattern, λ = 1.5418 Å (Cu Kα). Input: a PBE-relaxed structure.
Intensities are scaled so that the largest is 100.

Largest 10 diffraction maxima, low angle first, 2θ from 10° to 80°:
d [Å]	2theta	I (rel.)
3.448	25.8	100
3.395	26.2	56
3.324	26.8	49
3.081	29.0	45
2.915	30.7	38
2.858	31.3	40
2.111	42.8	17
2.076	43.6	15
2.059	44.0	13
2.024	44.8	14

Atomic structure:
```
data_Cs6Bi4O9
_symmetry_space_group_name_H-M 'P 1'
_symmetry_Int_Tables_number 1
_symmetry_space_group_name_Hall 'P 1'
_cell_length_a 8.352
_cell_length_b 10.198
_cell_length_c 12.488
_cell_angle_alpha 104.04
_cell_angle_beta 93.69
_cell_angle_gamma 92.24
loop_
_atom_site_label
_atom_site_fract_x
_atom_site_fract_y
_atom_site_fract_z
_atom_site_occupancy
Cs1 0.059 0.263 0.259 1
Cs2 0.119 0.051 0.639 1
Cs3 0.122 0.864 0.057 1
Cs4 0.353 0.351 0.553 1
Cs5 0.382 0.539 0.137 1
Cs6 0.435 0.749 0.750 1
Cs7 0.565 0.251 0.250 1
Cs8 0.618 0.461 0.863 1
Cs9 0.647 0.649 0.447 1
Cs10 0.878 0.136 0.943 1
Cs11 0.881 0.949 0.361 1
Cs12 0.941 0.737 0.741 1
Bi1 0.114 0.432 0.852 1
Bi2 0.164 0.664 0.413 1
Bi3 0.360 0.144 0.928 1
Bi4 0.386 0.956 0.370 1
Bi5 0.614 0.044 0.630 1
Bi6 0.640 0.856 0.072 1
Bi7 0.836 0.336 0.587 1
Bi8 0.886 0.568 0.148 1
O1 0.060 0.436 0.684 1
O2 0.208 0.773 0.291 1
O3 0.209 0.975 0.856 1
O4 0.212 0.095 0.400 1
O5 0.244 0.223 0.069 1
O6 0.269 0.601 0.897 1
O7 0.291 0.281 0.823 1
O8 0.313 0.507 0.369 1
O9 0.397 0.879 0.514 1
O10 0.603 0.121 0.486 1
O11 0.687 0.493 0.631 1
O12 0.709 0.719 0.177 1
O13 0.731 0.399 0.103 1
O14 0.756 0.777 0.931 1
O15 0.788 0.905 0.600 1
O16 0.791 0.025 0.144 1
O17 0.792 0.227 0.709 1
O18 0.940 0.564 0.316 1
```

# CsBiO2
Theoretical X-ray powder pattern, λ = 1.5418 Å (Cu Kα). Input: a PBE-relaxed structure.
Intensities are scaled so that the largest is 100.

Largest 10 diffraction maxima, low angle first, 2θ from 10° to 80°:
d [Å]	2theta	I (rel.)
5.713	15.5	48
3.546	25.1	64
3.503	25.4	100
3.157	28.3	100
2.987	29.9	39
2.549	35.2	36
2.124	42.6	31
2.088	43.3	26
1.896	48.0	21
1.867	48.8	23

Atomic structure:
```
data_CsBiO2
_symmetry_space_group_name_H-M 'P 1'
_symmetry_Int_Tables_number 1
_symmetry_space_group_name_Hall 'P 1'
_cell_length_a 6.421
_cell_length_b 6.421
_cell_length_c 6.096
_cell_angle_alpha 111.23
_cell_angle_beta 111.23
_cell_angle_gamma 97.36
loop_
_atom_site_label
_atom_site_fract_x
_atom_site_fract_y
_atom_site_fract_z
_atom_site_occupancy
Cs1 0.141 0.859 0.750 1
Cs2 0.859 0.141 0.250 1
Bi1 0.418 0.582 0.250 1
Bi2 0.582 0.418 0.750 1
O1 0.268 0.378 0.791 1
O2 0.378 0.268 0.291 1
O3 0.622 0.732 0.709 1
O4 0.732 0.622 0.209 1
```

# CsBiO3
Theoretical X-ray powder pattern, λ = 1.5418 Å (Cu Kα). Input: a PBE-relaxed structure.
Intensities are scaled so that the largest is 100.

Largest 10 diffraction maxima, low angle first, 2θ from 10° to 80°:
d [Å]	2theta	I (rel.)
4.418	20.1	10
3.124	28.6	100
2.209	40.9	28
1.976	45.9	5
1.803	50.6	43
1.562	59.2	18
1.473	63.1	2
1.397	67.0	19
1.275	74.4	6
1.225	78.0	1

Atomic structure:
```
data_CsBiO3
_symmetry_space_group_name_H-M 'P 1'
_symmetry_Int_Tables_number 1
_symmetry_space_group_name_Hall 'P 1'
_cell_length_a 4.418
_cell_length_b 4.418
_cell_length_c 4.418
_cell_angle_alpha 90.00
_cell_angle_beta 90.00
_cell_angle_gamma 90.00
loop_
_atom_site_label
_atom_site_fract_x
_atom_site_fract_y
_atom_site_fract_z
_atom_site_occupancy
Cs1 0.000 0.000 0.000 1
Bi1 0.500 0.500 0.500 1
O1 0.000 0.500 0.500 1
O2 0.500 0.000 0.500 1
O3 0.500 0.500 0.000 1
```